Theoretical powder diffractogram
Compound: LaPrNi2Ge4
Radiation: Cu Kα (weighted mean of Kα1 and Kα2)
Structure: the PBE geometry in OQMD
Lines closer than 0.1° are merged.

Crystal structure
abc: 4.301 4.255 8.713
angles: 90.00 104.30 90.00
Space group Pm (No. 6)
Asymmetric unit:
La1 0.000 0.000 0.000
Pr1 0.775 0.500 0.565
Ni1 0.209 0.000 0.418
Ni2 0.566 0.500 0.147
Ge1 0.134 0.500 0.284
Ge2 0.335 0.000 0.695
Ge3 0.439 0.500 0.867
Ge4 0.642 0.000 0.283

Main lines, by angle (15 to 90 degrees two-theta):
30.0 deg, I 21, (1 1 0); 33.6 deg, I 100, (1 1 1); 33.7 deg, I 39, (1 0 -3); 38.3 deg, I 32, (0 1 3); 42.0 deg, I 31, (2 0 -1); 42.5 deg, I 30, (0 2 0); 55.3 deg, I 18, (1 2 -3); 58.2 deg, I 18, (2 1 2); 61.3 deg, I 20, (2 2 -1); 71.4 deg, I 15, (3 1 0)